# Cs5AuI
Theoretical X-ray powder pattern, Cu Kα (λ = 1.5418 Å). Input: a cell relaxed with PBE.

Peak list (6 most intense, 15 to 90 degrees two-theta, in order of rising 2θ)
4.447 Å, 2θ 20.0, I 40, hkl 1 0 2
4.385 Å, 2θ 20.3, I 45, hkl 1 1 -3
4.062 Å, 2θ 21.9, I 61, hkl 1 2 -3
3.728 Å, 2θ 23.9, I 70, hkl 1 4 1
3.559 Å, 2θ 25.0, I 61, hkl 2 3 0
3.217 Å, 2θ 27.7, I 100, hkl 1 4 2

Structure:
Cell lengths 9.289, 18.657, 13.677 Å; angles 90.00, 110.87, 90.00 degrees
Fractional coordinates of all 28 atoms:
Cs: 0.008 0.134 0.029
Cs: 0.008 0.366 0.529
Cs: 0.156 0.102 0.443
Cs: 0.156 0.398 0.943
Cs: 0.280 0.655 0.864
Cs: 0.280 0.845 0.364
Cs: 0.356 0.180 0.831
Cs: 0.356 0.320 0.331
Cs: 0.411 0.589 0.282
Cs: 0.411 0.911 0.782
Cs: 0.589 0.089 0.218
Cs: 0.589 0.411 0.718
Cs: 0.644 0.680 0.669
Cs: 0.644 0.820 0.169
Cs: 0.720 0.155 0.636
Cs: 0.720 0.345 0.136
Cs: 0.844 0.602 0.057
Cs: 0.844 0.898 0.557
Cs: 0.992 0.634 0.471
Cs: 0.992 0.866 0.971
Au: 0.357 0.241 0.086
Au: 0.357 0.259 0.586
Au: 0.643 0.741 0.414
Au: 0.643 0.759 0.914
I: 0.057 0.022 0.798
I: 0.057 0.478 0.298
I: 0.943 0.522 0.702
I: 0.943 0.978 0.202